Record 1
This entry pairs a crystal structure of KSrHg14 with its simulated powder XRD pattern. Radiation: Cu Kα, 1.54184 Å. Structure: a crystal structure in Alexandria, relaxed with PBE.
Lines closer than 0.1° are merged.

Principal peaks in the range 15 to 90 degrees two-theta, low angle first:
| index | two_theta | I (rel.) |
| --- | --- | --- |
| 2 1 1 | 19.25 | 23 |
| 2 1 3 | 24.56 | 13 |
| 3 0 3 | 29.86 | 21 |
| 2 3 1 | 30.13 | 44 |
| 0 4 0 | 32.69 | 48 |
| 2 1 5 | 32.82 | 100 |
| 4 0 0 | 33.58 | 50 |
| 2 3 5 | 40.43 | 90 |
| 4 4 0 | 47.56 | 24 |
| 2 7 5 | 68.57 | 25 |

Structural model:
Cell: 10.6757 10.9589 16.5891 Å, 90.00 90.00 90.00°
Space group Imma (No. 74)
Inequivalent atoms, fractional coordinates:
K (0.0000, 0.2500, 0.0950)
Sr (0.2500, 0.2500, 0.7500)
Hg (0.0000, 0.0886, 0.8391)
Hg (0.0000, 0.1089, 0.6522)
Hg (0.0000, 0.1212, 0.4595)
Hg (0.2156, 0.1069, 0.3365)
Hg (0.2272, 0.1142, 0.9504)

=====

Record 2
This entry pairs a crystal structure of KTcHg with its simulated powder XRD pattern. Radiation: Cu Kα, 1.54184 Å. Structure: a crystal structure in Alexandria, relaxed with PBE.
Lines closer than 0.1° are merged.

Principal peaks in the range 15 to 90 degrees two-theta, low angle first:
| index | two_theta | I (rel.) |
| --- | --- | --- |
| 0 1 1 | 20.35 | 34 |
| 0 1 3 | 29.13 | 69 |
| 0 0 4 | 29.32 | 65 |
| 1 1 0 | 37.22 | 100 |
| 0 2 0 | 38.52 | 45 |
| 1 0 3 | 38.86 | 32 |
| 1 1 2 | 40.15 | 85 |
| 0 2 2 | 41.38 | 39 |
| 1 1 4 | 48.07 | 66 |
| 0 2 4 | 49.13 | 31 |

Structural model:
Cell: 2.8221 4.6746 12.1825 Å, 90.00 90.00 90.00°
Space group Imm2 (No. 44)
Inequivalent atoms, fractional coordinates:
K (0.0000, 0.0000, 0.0000)
Tc (0.0000, 0.0000, 0.7253)
Hg (0.0000, 0.0000, 0.2784)

=====

Record 3
This entry pairs a crystal structure of K3HgTe3 with its simulated powder XRD pattern. Radiation: Cu Kα, 1.54184 Å. Structure: a crystal structure in Alexandria, relaxed with PBE.
Lines closer than 0.1° are merged.

Principal peaks in the range 15 to 90 degrees two-theta, low angle first:
| index | two_theta | I (rel.) |
| --- | --- | --- |
| 0 2 1 | 17.31 | 53 |
| 2 0 0 | 17.77 | 68 |
| 2 0 -1 | 19.36 | 57 |
| 1 3 1 | 25.66 | 100 |
| 3 1 -1 | 28.50 | 91 |
| 2 2 -2 | 28.95 | 48 |
| 1 3 2 | 31.19 | 58 |
| 3 3 0 | 34.61 | 52 |
| 1 3 3 | 38.66 | 52 |
| 3 5 -1 | 46.11 | 38 |

Structural model:
Cell: 10.0368 12.3986 9.1494 Å, 90.00 96.10 90.00°
Space group C2/m (No. 12)
Inequivalent atoms, fractional coordinates:
K (0.0000, 0.1617, 0.0000)
K (0.0000, 0.2344, 0.5000)
K (0.0867, 0.5000, 0.8476)
Hg (0.2227, 0.0000, 0.6012)
Te (0.1288, 0.0000, 0.3073)
Te (0.2060, 0.3220, 0.2228)